(1)
The following is a theoretical XRD peak list of Zn3CrSe4. It was derived from a GGA-PBE-relaxed structure, using Cu Kα (λ = 1.5418 Å).
No peak broadening, texture or thermal motion is included.

Structural model:
a b c (Å): 5.760 5.760 5.760
angles (deg): 90.00 90.00 90.00
Space group P-43m (No. 215)
One atom of each set of equivalent atoms:
Zn: 0.000 0.000 0.500 x3
Cr: 0.500 0.500 0.500 x1
Se: 0.249 0.249 0.751 x4

Largest 9 diffraction maxima, in order of rising 2θ, 2θ = 10–90°:
2theta, I (rel.)
15.38, 1
26.81, 100
31.05, 1
44.49, 73
52.71, 44
64.74, 11
71.38, 17
81.95, 23
88.13, 13

---

(2)
The following is a theoretical XRD peak list of CaTeBr. It was derived from a GGA-PBE-relaxed structure, using Cu Kα (λ = 1.5418 Å).
No peak broadening, texture or thermal motion is included.

Structural model:
a b c (Å): 8.186 4.585 12.006
angles (deg): 90.00 90.78 90.00
Space group C2/m (No. 12)
One atom of each set of equivalent atoms:
Ca: 0.157 0.000 0.248 x4
Te: 0.016 0.500 0.887 x4
Br: 0.168 0.000 0.637 x4

Largest 10 diffraction maxima, in order of rising 2θ, 2θ = 10–90°:
2theta, I (rel.)
23.06, 40
23.43, 100
26.87, 43
29.77, 23
31.04, 33
31.73, 42
38.39, 55
39.29, 31
43.85, 33
43.98, 19

---

(3)
The following is a theoretical XRD peak list of Ce2NdCu4. It was derived from a GGA-PBE-relaxed structure, using Cu Kα (λ = 1.5418 Å).
No peak broadening, texture or thermal motion is included.

Structural model:
a b c (Å): 4.2828 4.2828 26.4648
angles (deg): 90.00 90.00 120.00
Space group R-3m (No. 166, hexagonal axes)
One atom of each set of equivalent atoms:
Ce: 0.0000 0.0000 0.1381 x6
Nd: 0.0000 0.0000 0.0000 x3
Cu: 0.0000 0.0000 0.2582 x6
Cu: 0.0000 0.0000 0.4069 x6

Largest 10 diffraction maxima, in order of rising 2θ, 2θ = 10–90°:
2theta, I (rel.)
24.23, 32
33.86, 100
36.39, 65
42.20, 89
55.16, 24
56.92, 18
68.96, 29
71.82, 22
73.35, 16
77.15, 14

---

(4)
The following is a theoretical XRD peak list of Pr5Cd4Ag. It was derived from a GGA-PBE-relaxed structure, using Cu Kα (λ = 1.5418 Å).
No peak broadening, texture or thermal motion is included.

Structural model:
a b c (Å): 3.865 3.865 19.286
angles (deg): 90.00 90.00 90.00
Space group P4/mmm (No. 123)
One atom of each set of equivalent atoms:
Pr: 0.000 0.000 0.000 x1
Pr: 0.000 0.000 0.203 x2
Pr: 0.000 0.000 0.404 x2
Cd: 0.500 0.500 0.102 x2
Cd: 0.500 0.500 0.302 x2
Ag: 0.500 0.500 0.500 x1

Largest 10 diffraction maxima, in order of rising 2θ, 2θ = 10–90°:
2theta, I (rel.)
23.02, 1
32.79, 100
47.02, 12
47.12, 6
53.01, 1
58.53, 37
68.74, 11
78.21, 10
78.38, 5
87.48, 4